Starting from a GGA-PBE-relaxed structure, the X-ray powder pattern of La2Tb5PrNd was computed for a wavelength of 1.5418 Å.
Neutral-atom scattering factors, no anomalous dispersion.

Crystal structure
Unit cell a=10.0897 b=10.0897 c=10.0897 alpha=128.54 beta=128.54 gamma=75.75
Sites, in units of the cell vectors:
La  0.1179  0.6179  0.7358
La  0.3821  0.1179  0.5000
La  0.6179  0.8821  0.5000
La  0.8821  0.3821  0.2642
Tb  0.0000  0.0000  0.0000
Tb  0.0731  0.1477  0.5000
Tb  0.1477  0.6477  0.0746
Tb  0.3523  0.4269  0.5000
Tb  0.4269  0.9269  0.0746
Tb  0.5000  0.5000  0.0000
Tb  0.5731  0.0731  0.9254
Tb  0.6477  0.5731  0.5000
Tb  0.8523  0.3523  0.9254
Tb  0.9269  0.8523  0.5000
Pr  0.2500  0.2500  0.0000
Pr  0.7500  0.7500  0.0000
Nd  0.2500  0.7500  0.5000
Nd  0.7500  0.2500  0.5000

Principal peaks in the range 15° ≤ 2θ ≤ 90°, by angle:
2theta  I/Imax
28.3  44
28.8  52
30.3  100
32.3  12
34.3  10
37.4  15
39.7  11
45.6  12
46.0  10
52.0  24
54.8  13
58.5  10